Simulated powder diffractogram
Compound: Tb5DyY5
Radiation: Cu Kα
Structure: a DFT-relaxed cell (GGA-PBE, Alexandria)
Neutral-atom scattering factors, no anomalous dispersion.

Crystal structure
```
data_Tb5DyY5
_chemical_formula_sum 'Tb5 Dy1 Y5'
_symmetry_space_group_name_H-M 'P -1'
_symmetry_Int_Tables_number 2
_cell_length_a 6.855
_cell_length_b 6.879
_cell_length_c 8.632
_cell_angle_alpha 74.60
_cell_angle_beta 75.18
_cell_angle_gamma 69.97
loop_
_symmetry_equiv_pos_as_xyz
'x,y,z'
'-x,-y,-z'
loop_
_atom_site_label
_atom_site_type_symbol
_atom_site_fract_x
_atom_site_fract_y
_atom_site_fract_z
Tb1 Tb 0.000 0.000 0.000
Tb2 Tb 0.272 0.349 0.729
Tb3 Tb 0.354 0.854 0.636
Dy1 Dy 0.500 0.000 0.000
Y1 Y 0.149 0.224 0.273
Y2 Y 0.187 0.680 0.365
Y3 Y 0.500 0.500 0.000
```

Top 6 peaks for 2θ = 15–90°, in order of rising 2θ:
31.8 deg, I 64
32.1 deg, I 100
32.2 deg, I 55
32.5 deg, I 67
32.8 deg, I 34
46.1 deg, I 28


Simulated powder diffractogram
Compound: Sm5Dy3Er3
Radiation: Cu Kα
Structure: a DFT-relaxed cell (GGA-PBE, Alexandria)
Neutral-atom scattering factors, no anomalous dispersion.

Crystal structure
```
data_Sm5Dy3Er3
_chemical_formula_sum 'Sm5 Dy3 Er3'
_symmetry_space_group_name_H-M 'P -6 2 m'
_symmetry_Int_Tables_number 189
_symmetry_space_group_name_Hall 'P -6 -2'
_cell_length_a 11.1901
_cell_length_b 11.1901
_cell_length_c 3.4363
_cell_angle_alpha 90.00
_cell_angle_beta 90.00
_cell_angle_gamma 120.00
loop_
_atom_site_label
_atom_site_type_symbol
_atom_site_fract_x
_atom_site_fract_y
_atom_site_fract_z
Sm1 Sm 0.0000 0.3390 0.0000
Sm2 Sm 0.3333 0.6667 0.0000
Dy1 Dy 0.0000 0.5953 0.5000
Er1 Er 0.0000 0.8406 0.0000
```

Top 6 peaks for 2θ = 15–90°, in order of rising 2θ:
27.6 deg, I 97
30.5 deg, I 89
32.0 deg, I 56
33.3 deg, I 100
35.8 deg, I 74
41.6 deg, I 80


Simulated powder diffractogram
Compound: PuU3Si
Radiation: Cu Kα
Structure: a DFT-relaxed cell (GGA-PBE, Alexandria)
Neutral-atom scattering factors, no anomalous dispersion.

Crystal structure
```
data_PuU3Si
_chemical_formula_sum 'Pu2 U6 Si2'
_symmetry_space_group_name_H-M 'P m n 21'
_symmetry_Int_Tables_number 31
_cell_length_a 6.158
_cell_length_b 4.981
_cell_length_c 6.384
_cell_angle_alpha 90.00
_cell_angle_beta 90.00
_cell_angle_gamma 90.00
loop_
_symmetry_equiv_pos_as_xyz
'x,y,z'
'-x+1/2,-y,z+1/2'
'-x,y,z'
'x+1/2,-y,z+1/2'
loop_
_atom_site_label
_atom_site_type_symbol
_atom_site_fract_x
_atom_site_fract_y
_atom_site_fract_z
Pu1 Pu 0.000 0.214 0.000
U1 U 0.000 0.552 0.726
U2 U 0.220 0.122 0.428
Si1 Si 0.000 0.632 0.277
```

Top 6 peaks for 2θ = 15–90°, in order of rising 2θ:
26.9 deg, I 43
33.3 deg, I 83
34.2 deg, I 56
36.5 deg, I 52
37.1 deg, I 100
49.2 deg, I 52


Simulated powder diffractogram
Compound: TbPmNd2Tm2
Radiation: Cu Kα
Structure: a DFT-relaxed cell (GGA-PBE, Alexandria)
Neutral-atom scattering factors, no anomalous dispersion.

Crystal structure
```
data_TbPmNd2Tm2
_chemical_formula_sum 'Tb2 Pm2 Nd4 Tm4'
_symmetry_space_group_name_H-M 'P n n m'
_symmetry_Int_Tables_number 58
_cell_length_a 7.039
_cell_length_b 9.830
_cell_length_c 5.671
_cell_angle_alpha 90.00
_cell_angle_beta 90.00
_cell_angle_gamma 90.00
loop_
_symmetry_equiv_pos_as_xyz
'x,y,z'
'-x,-y,-z'
'-x,-y,z'
'x,y,-z'
'x+1/2,-y+1/2,-z+1/2'
'-x+1/2,y+1/2,z+1/2'
'-x+1/2,y+1/2,-z+1/2'
'x+1/2,-y+1/2,z+1/2'
loop_
_atom_site_label
_atom_site_type_symbol
_atom_site_fract_x
_atom_site_fract_y
_atom_site_fract_z
Tb1 Tb 0.000 0.000 0.000
Pm1 Pm 0.000 0.500 0.500
Nd1 Nd 0.248 0.167 0.500
Tm1 Tm 0.250 0.334 0.000
```

Top 6 peaks for 2θ = 15–90°, in order of rising 2θ:
31.3 deg, I 90
31.5 deg, I 100
45.0 deg, I 33
56.0 deg, I 35
56.2 deg, I 20
62.1 deg, I 29